For NaSnMoH, a structure optimized by DFT (GGA-PBE) gives the computed powder diffractogram in this record (a wavelength of 1.5418 Å).
Intensities are scaled so that the largest is 100.

Top 10 peaks for 15° ≤ 2θ ≤ 90°, low angle first:
2θ/deg	intensity
19.94	74.0
32.25	68.1
33.83	56.5
36.96	80.7
41.37	100.0
47.44	46.7
62.59	17.2
64.99	15.4
65.68	25.4
75.35	41.2

a b c (Å): 2.949 5.299 8.212
angles (deg): 90.00 90.00 90.00
Fractional positions:
Na 0.000 0.000 0.000
Na 0.500 0.500 0.500
Sn 0.000 0.500 0.827
Sn 0.500 0.000 0.327
Mo 0.000 0.000 0.632
Mo 0.500 0.500 0.132
H 0.000 0.500 0.271
H 0.500 0.000 0.771